NaV3Pb2O8: simulated powder diffractogram (Cu Kα, 1.54184 Å), based on a structure optimized by DFT (PBE+U).
Lines closer than 0.1° are merged.

Largest 10 diffraction maxima, by angle, 2θ from 10° to 90°:
(1 0 1), 17.32°, d 5.120, rel. 31.9
(0 1 2), 19.30°, d 4.598, rel. 67.2
(1 1 0), 28.97°, d 3.082, rel. 58.9
(0 1 5), 29.82°, d 2.997, rel. 75.2
(1 1 3), 32.63°, d 2.745, rel. 100.0
(2 0 2), 35.05°, d 2.560, rel. 23.7
(1 2 5), 51.88°, d 1.762, rel. 37.0
(2 0 8), 53.06°, d 1.726, rel. 26.3
(0 3 3), 53.71°, d 1.707, rel. 25.2
(2 2 0), 60.04°, d 1.541, rel. 23.2

Atomic structure:
a b c (Å): 6.1632 6.1632 18.1054
angles (deg): 90.00 90.00 120.00
Space group R3m (No. 160, hexagonal axes)
Asymmetric unit:
Na: 0.0000 0.0000 0.0000 x3
V: 0.1688 0.3376 0.4488 x9
Pb: 0.0000 0.0000 0.2369 x3
Pb: 0.0000 0.0000 0.6223 x3
O: 0.0000 0.0000 0.3962 x3
O: 0.0000 0.0000 0.8423 x3
O: 0.0369 0.5184 0.3911 x9
O: 0.1819 0.3638 0.1746 x9